This entry pairs a crystal structure of Li8Mn5Fe3B8O24 with its simulated X-ray powder pattern. Radiation: a wavelength of 1.5418 Å. Structure: DFT lattice parameters and positions (GGA+U).

Peak list (6 most intense, 2θ = 10–90°, by angle)
(hkl), Position (°2θ), I/Imax
1 0 -2, 20.36, 65.5
0 0 4, 22.21, 28.4
1 1 1, 22.58, 50.3
1 1 5, 34.01, 24.3
0 2 -2, 34.13, 100.0
2 0 4, 40.88, 28.9

abc: 5.2491 5.9365 16.2003
angles: 81.22 89.08 88.80
Element x y z (fractional)
Li1 0.0000 0.0000 0.0000
Li2 0.0008 0.4918 0.5014
Li3 0.1863 0.8814 0.5269
Li4 0.1896 0.3847 0.0278
Li5 0.5024 0.2473 0.2491
Li6 0.5035 0.7550 0.7465
Li7 0.6882 0.1442 0.7732
Li8 0.6903 0.6307 0.2762
Mn1 0.0187 0.0941 0.1798
Mn2 0.0243 0.6097 0.6778
Mn3 0.1699 0.2916 0.8472
Mn4 0.5188 0.8507 0.9273
Mn5 0.5199 0.3398 0.4294
Fe1 0.1804 0.7818 0.3491
Fe2 0.6653 0.0300 0.5973
Fe3 0.6803 0.5348 0.0969
B1 0.0188 0.7876 0.8396
B2 0.0210 0.2762 0.3422
B3 0.1664 0.1083 0.6833
B4 0.1734 0.6021 0.1861
B5 0.5194 0.0288 0.0914
B6 0.5217 0.5286 0.5905
B7 0.6717 0.3558 0.9358
B8 0.6722 0.8482 0.4354
O1 0.0208 0.2531 0.7272
O2 0.0267 0.7323 0.2352
O3 0.0439 0.9779 0.6310
O4 0.0495 0.4894 0.1287
O5 0.1331 0.9063 0.8965
O6 0.1344 0.3926 0.3999
O7 0.1719 0.6522 0.7943
O8 0.1731 0.1420 0.2961
O9 0.2600 0.0526 0.0777
O10 0.2637 0.5515 0.5766
O11 0.4256 0.0843 0.6957
O12 0.4326 0.5780 0.1964
O13 0.5204 0.4878 0.9832
O14 0.5232 0.9801 0.4831
O15 0.5511 0.7332 0.3782
O16 0.5574 0.2418 0.8774
O17 0.6353 0.1462 0.1482
O18 0.6408 0.6613 0.6424
O19 0.6694 0.8946 0.0447
O20 0.6701 0.3799 0.5487
O21 0.7604 0.8099 0.8250
O22 0.7621 0.2993 0.3274
O23 0.9304 0.3346 0.9497
O24 0.9305 0.8237 0.4473